(1)
Computed powder diffraction line list of PmErGa2Pt2 for Cu Kα, from a crystal structure in Alexandria, relaxed with PBE.
Kinematic intensities with the Lorentz-polarization factor, no thermal factor.

Lattice parameters (Å, degrees): 4.4762 4.4762 7.0660 90.00 90.00 120.00
Positions (direct):
Pm1 0.0000 0.0000 0.0000
Er1 0.0000 0.0000 0.5000
Ga1 0.3333 0.6667 0.2706
Ga2 0.6667 0.3333 0.7294
Pt1 0.3333 0.6667 0.7282
Pt2 0.6667 0.3333 0.2718

Most intense lines, 10 to 90 degrees two-theta, most intense first:
2theta, I_rel
34.34, 100
40.30, 70
53.96, 28
69.45, 26
67.56, 25
26.22, 25
73.25, 12
51.75, 9
87.09, 8
45.04, 7



(2)
Computed powder diffraction line list of PmErGa2Rh2 for Cu Kα, from a crystal structure in Alexandria, relaxed with PBE.
Kinematic intensities with the Lorentz-polarization factor, no thermal factor.

Lattice parameters (Å, degrees): 4.4098 4.4098 7.1397 90.00 90.00 120.00
Positions (direct):
Pm1 0.0000 0.0000 0.0000
Er1 0.0000 0.0000 0.5000
Ga1 0.3333 0.6667 0.2695
Ga2 0.6667 0.3333 0.7305
Rh1 0.3333 0.6667 0.7165
Rh2 0.6667 0.3333 0.2835

Most intense lines, 10 to 90 degrees two-theta, most intense first:
2theta, I_rel
34.39, 100
40.93, 60
54.50, 27
70.35, 25
67.52, 20
23.29, 10
74.54, 10
51.18, 8
88.74, 7
56.94, 6



(3)
Computed powder diffraction line list of Pm2ErZn2Ga2 for Cu Kα, from a crystal structure in Alexandria, relaxed with PBE.
Kinematic intensities with the Lorentz-polarization factor, no thermal factor.

Lattice parameters (Å, degrees): 9.8161 9.8161 9.8161 26.14 26.14 26.14
Positions (direct):
Pm1 0.1244 0.1244 0.1244
Pm2 0.8756 0.8756 0.8756
Er1 0.0000 0.0000 0.0000
Zn1 0.3911 0.3911 0.3911
Zn2 0.6089 0.6089 0.6089
Ga1 0.2697 0.2697 0.2697
Ga2 0.7303 0.7303 0.7303

Most intense lines, 10 to 90 degrees two-theta, most intense first:
2theta, I_rel
34.36, 100
40.64, 87
32.05, 65
23.34, 39
64.67, 27
54.24, 27
69.93, 25
52.67, 16
73.94, 14
68.57, 14



(4)
Computed powder diffraction line list of Pr2ErGa2 for Cu Kα, from a crystal structure in Alexandria, relaxed with PBE.
Kinematic intensities with the Lorentz-polarization factor, no thermal factor.

Lattice parameters (Å, degrees): 4.6850 6.5909 8.8232 90.00 90.00 90.00
Positions (direct):
Pr1 0.0000 0.0000 0.2004
Pr2 0.0000 0.0000 0.7996
Pr3 0.5000 0.5000 0.2996
Pr4 0.5000 0.5000 0.7004
Er1 0.0000 0.5000 0.0000
Er2 0.5000 0.0000 0.5000
Ga1 0.0000 0.2960 0.5000
Ga2 0.0000 0.7040 0.5000
Ga3 0.5000 0.2040 0.0000
Ga4 0.5000 0.7960 0.0000

Most intense lines, 10 to 90 degrees two-theta, most intense first:
2theta, I_rel
30.97, 100
34.80, 54
33.36, 26
38.43, 26
62.96, 22
27.06, 20
51.95, 16
51.79, 15
66.44, 15
64.90, 12



(5)
Computed powder diffraction line list of Pr2Er2Ga3 for Cu Kα, from a crystal structure in Alexandria, relaxed with PBE.
Kinematic intensities with the Lorentz-polarization factor, no thermal factor.

Lattice parameters (Å, degrees): 3.7158 5.9900 8.2368 91.62 90.02 107.83
Positions (direct):
Pr1 0.2073 0.4146 0.1651
Pr2 0.7927 0.5854 0.8349
Er1 0.0597 0.1138 0.6940
Er2 0.9403 0.8862 0.3060
Ga1 0.3324 0.6661 0.5387
Ga2 0.5000 0.0000 0.0000
Ga3 0.6676 0.3339 0.4613

Most intense lines, 10 to 90 degrees two-theta, most intense first:
2theta, I_rel
33.58, 100
35.21, 33
35.35, 32
35.89, 29
49.03, 13
25.21, 13
52.45, 12
62.16, 10
62.33, 10
47.41, 9



(6)
Computed powder diffraction line list of Pr2ErGa4 for Cu Kα, from a crystal structure in Alexandria, relaxed with PBE.
Kinematic intensities with the Lorentz-polarization factor, no thermal factor.

Lattice parameters (Å, degrees): 4.1988 4.3213 18.8596 90.00 90.00 90.00
Positions (direct):
Pr1 0.0000 0.0000 0.1842
Pr2 0.0000 0.0000 0.8158
Pr3 0.5000 0.5000 0.3158
Pr4 0.5000 0.5000 0.6842
Er1 0.0000 0.5000 0.5000
Er2 0.5000 0.0000 0.0000
Ga1 0.0000 0.0000 0.3615
Ga2 0.0000 0.0000 0.6385
Ga3 0.0000 0.5000 0.0642
Ga4 0.0000 0.5000 0.9358
Ga5 0.5000 0.0000 0.4358
Ga6 0.5000 0.0000 0.5642
Ga7 0.5000 0.5000 0.1385
Ga8 0.5000 0.5000 0.8615

Most intense lines, 10 to 90 degrees two-theta, most intense first:
2theta, I_rel
31.18, 100
31.48, 58
35.37, 31
39.75, 30
41.81, 26
54.33, 25
43.09, 24
25.51, 23
59.05, 18
28.39, 17



(7)
Computed powder diffraction line list of PrErGa3 for Cu Kα, from a crystal structure in Alexandria, relaxed with PBE.
Kinematic intensities with the Lorentz-polarization factor, no thermal factor.

Lattice parameters (Å, degrees): 13.0182 13.0182 4.2135 90.00 90.00 160.96
Positions (direct):
Pr1 0.0742 0.9258 0.7500
Pr2 0.9258 0.0742 0.2500
Er1 0.2039 0.7961 0.2500
Er2 0.7961 0.2039 0.7500
Ga1 0.3215 0.6785 0.2500
Ga2 0.3783 0.6217 0.7500
Ga3 0.4756 0.5244 0.7500
Ga4 0.5244 0.4756 0.2500
Ga5 0.6217 0.3783 0.2500
Ga6 0.6785 0.3215 0.7500

Most intense lines, 10 to 90 degrees two-theta, most intense first:
2theta, I_rel
31.49, 100
32.05, 53
41.17, 31
54.57, 26
41.96, 26
42.93, 24
60.24, 20
25.28, 20
61.59, 16
38.68, 12



(8)
Computed powder diffraction line list of Pr4ErGa5 for Cu Kα, from a crystal structure in Alexandria, relaxed with PBE.
Kinematic intensities with the Lorentz-polarization factor, no thermal factor.

Lattice parameters (Å, degrees): 3.6775 3.6775 18.5493 90.00 90.00 90.00
Positions (direct):
Pr1 0.0000 0.0000 0.1023
Pr2 0.0000 0.0000 0.3073
Pr3 0.0000 0.0000 0.6927
Pr4 0.0000 0.0000 0.8977
Er1 0.0000 0.0000 0.5000
Ga1 0.5000 0.5000 0.0000
Ga2 0.5000 0.5000 0.2049
Ga3 0.5000 0.5000 0.4126
Ga4 0.5000 0.5000 0.5874
Ga5 0.5000 0.5000 0.7951

Most intense lines, 10 to 90 degrees two-theta, most intense first:
2theta, I_rel
34.34, 100
34.49, 51
61.69, 36
49.58, 18
61.40, 16
83.00, 16
24.20, 14
72.36, 10
49.12, 8
23.99, 7



(9)
Computed powder diffraction line list of ErGa4Pt4 for Cu Kα, from a crystal structure in Alexandria, relaxed with PBE.
Kinematic intensities with the Lorentz-polarization factor, no thermal factor.

Lattice parameters (Å, degrees): 5.9407 5.9407 8.8697 90.00 90.00 90.00
Positions (direct):
Er1 0.2500 0.7500 0.2500
Er2 0.7500 0.2500 0.7500
Ga1 0.0322 0.2500 0.1666
Ga2 0.2500 0.0322 0.6666
Ga3 0.2500 0.4678 0.6666
Ga4 0.4678 0.2500 0.1666
Ga5 0.5322 0.7500 0.8334
Ga6 0.7500 0.5322 0.3334
Ga7 0.7500 0.9678 0.3334
Ga8 0.9678 0.7500 0.8334
Pt1 0.0123 0.2500 0.4599
Pt2 0.2500 0.0123 0.9599
Pt3 0.2500 0.4877 0.9599
Pt4 0.4877 0.2500 0.4599
Pt5 0.5123 0.7500 0.5401
Pt6 0.7500 0.5123 0.0401
Pt7 0.7500 0.9877 0.0401
Pt8 0.9877 0.7500 0.5401

Most intense lines, 10 to 90 degrees two-theta, most intense first:
2theta, I_rel
31.77, 100
43.17, 86
35.27, 72
43.07, 46
47.92, 44
33.87, 40
43.57, 30
20.02, 28
62.54, 28
79.02, 25



(10)
Computed powder diffraction line list of Er6Ga3Pt for Cu Kα, from a crystal structure in Alexandria, relaxed with PBE.
Kinematic intensities with the Lorentz-polarization factor, no thermal factor.

Lattice parameters (Å, degrees): 8.5903 11.5001 4.9559 90.00 90.00 90.00
Positions (direct):
Er1 0.0045 0.2468 0.0000
Er2 0.1630 0.0873 0.5000
Er3 0.1746 0.4131 0.5000
Er4 0.3254 0.9131 0.0000
Er5 0.3370 0.5873 0.0000
Er6 0.4955 0.7468 0.5000
Er7 0.5045 0.2532 0.5000
Er8 0.6630 0.4127 0.0000
Er9 0.6746 0.0869 0.0000
Er10 0.8254 0.5869 0.5000
Er11 0.8370 0.9127 0.5000
Er12 0.9955 0.7532 0.0000
Ga1 0.0000 0.5000 0.0000
Ga2 0.1619 0.7337 0.5000
Ga3 0.3381 0.2337 0.0000
Ga4 0.5000 0.0000 0.5000
Ga5 0.6619 0.7663 0.0000
Ga6 0.8381 0.2663 0.5000
Pt1 0.0000 0.0000 0.0000
Pt2 0.5000 0.5000 0.5000

Most intense lines, 10 to 90 degrees two-theta, most intense first:
2theta, I_rel
36.24, 100
31.28, 72
37.65, 47
48.61, 21
65.19, 18
66.12, 18
53.25, 17
61.12, 15
62.10, 13
22.10, 10



(11)
Computed powder diffraction line list of Er6Ga2Pt for Cu Kα, from a crystal structure in Alexandria, relaxed with PBE.
Kinematic intensities with the Lorentz-polarization factor, no thermal factor.

Lattice parameters (Å, degrees): 6.0373 8.2206 10.9892 90.00 120.01 90.00
Positions (direct):
Er1 0.0641 0.1734 0.4406
Er2 0.0641 0.3266 0.9406
Er3 0.3312 0.6790 0.4410
Er4 0.3312 0.8210 0.9410
Er5 0.3899 0.0333 0.2694
Er6 0.3899 0.4667 0.7694
Er7 0.6101 0.5333 0.2306
Er8 0.6101 0.9667 0.7306
Er9 0.6688 0.1790 0.0590
Er10 0.6688 0.3210 0.5590
Er11 0.9359 0.6734 0.0594
Er12 0.9359 0.8266 0.5594
Ga1 0.1805 0.1255 0.7521
Ga2 0.1805 0.3745 0.2521
Ga3 0.8195 0.6255 0.7479
Ga4 0.8195 0.8745 0.2479
Pt1 0.0000 0.0000 0.0000
Pt2 0.0000 0.5000 0.5000

Most intense lines, 10 to 90 degrees two-theta, most intense first:
2theta, I_rel
36.01, 100
33.52, 55
31.11, 43
31.62, 40
28.18, 40
37.83, 32
34.46, 30
33.01, 29
52.64, 25
53.08, 25



(12)
Computed powder diffraction line list of Er6Ga17Pt5 for Cu Kα, from a crystal structure in Alexandria, relaxed with PBE.
Kinematic intensities with the Lorentz-polarization factor, no thermal factor.

Lattice parameters (Å, degrees): 8.1543 8.1543 15.7124 101.50 101.50 30.04
Positions (direct):
Er1 0.0886 0.0886 0.4122
Er2 0.2506 0.2506 0.2509
Er3 0.4092 0.4092 0.0901
Er4 0.5908 0.5908 0.9099
Er5 0.7494 0.7494 0.7491
Er6 0.9114 0.9114 0.5878
Ga1 0.0000 0.0000 0.0000
Ga2 0.0453 0.0453 0.1756
Ga3 0.1033 0.1033 0.7698
Ga4 0.1783 0.1783 0.0446
Ga5 0.2289 0.2289 0.8946
Ga6 0.2706 0.2706 0.6021
Ga7 0.3252 0.3252 0.4548
Ga8 0.3961 0.3961 0.7290
Ga9 0.4548 0.4548 0.3247
Ga10 0.5452 0.5452 0.6753
Ga11 0.6039 0.6039 0.2710
Ga12 0.6748 0.6748 0.5452
Ga13 0.7294 0.7294 0.3979
Ga14 0.7711 0.7711 0.1054
Ga15 0.8217 0.8217 0.9554
Ga16 0.8967 0.8967 0.2302
Ga17 0.9547 0.9547 0.8244
Pt1 0.1073 0.1073 0.6070
Pt2 0.3901 0.3901 0.8903
Pt3 0.5000 0.5000 0.5000
Pt4 0.6099 0.6099 0.1097
Pt5 0.8927 0.8927 0.3930

Most intense lines, 10 to 90 degrees two-theta, most intense first:
2theta, I_rel
35.57, 100
42.80, 27
44.49, 18
34.97, 17
37.57, 16
14.50, 14
28.71, 13
73.69, 12
63.44, 12
36.26, 11